1.
The following is a calculated powder diffraction line list of Lu4SnPC2. It was derived from a crystal structure in OQMD, relaxed with PBE, using copper Kα.

Main lines, low angle first (10° ≤ 2θ ≤ 90°):
2θ/deg  I_rel
29.03  30
31.24  16
31.66  19
34.70  100
51.46  28
59.79  21
63.56  18
86.09  16

Structural model:
a b c (Å): 3.5514 3.5514 14.3174
angles (deg): 90.00 90.00 120.00
Atoms (fractional coordinates):
Lu  0.0000  0.0000  0.1335
Lu  0.0000  0.0000  0.8665
Lu  0.6667  0.3333  0.3156
Lu  0.6667  0.3333  0.6844
Sn  0.0000  0.0000  0.5000
P  0.6667  0.3333  0.0000
C  0.3333  0.6667  0.2300
C  0.3333  0.6667  0.7700

2.
The following is a calculated powder diffraction line list of InFe3As5. It was derived from a crystal structure in OQMD, relaxed with PBE, using copper Kα.

Main lines, low angle first (10° ≤ 2θ ≤ 90°):
2θ/deg  I_rel
11.59  27
31.19  100
35.79  83
47.64  26
48.19  96
60.99  31
61.46  28
75.85  20

Structural model:
a b c (Å): 5.0172 5.0172 7.6353
angles (deg): 90.00 90.00 120.00
Atoms (fractional coordinates):
In  0.0000  0.0000  0.0000
Fe  0.0000  0.5000  0.5000
Fe  0.5000  0.0000  0.5000
Fe  0.5000  0.5000  0.5000
As  0.0000  0.0000  0.5000
As  0.3333  0.6667  0.2343
As  0.3333  0.6667  0.7657
As  0.6667  0.3333  0.2343
As  0.6667  0.3333  0.7657

3.
The following is a calculated powder diffraction line list of SmCuTe2PbS. It was derived from a crystal structure in OQMD, relaxed with PBE, using copper Kα.

Main lines, low angle first (10° ≤ 2θ ≤ 90°):
2θ/deg  I_rel
20.83  48
28.09  100
28.21  48
29.36  78
32.91  55
33.74  98
41.51  50
42.85  45

Structural model:
a b c (Å): 7.5396 7.5396 10.5533
angles (deg): 90.00 90.00 147.49
Atoms (fractional coordinates):
Sm  0.0000  0.0000  0.0000
Sm  0.0000  0.0000  0.5000
Cu  0.4787  0.5213  0.7500
Cu  0.5213  0.4787  0.2500
Te  0.3501  0.6499  0.5682
Te  0.3501  0.6499  0.9318
Te  0.6499  0.3501  0.0682
Te  0.6499  0.3501  0.4318
Pb  0.2730  0.7270  0.2500
Pb  0.7270  0.2730  0.7500
S  0.0646  0.9354  0.7500
S  0.9354  0.0646  0.2500

4.
The following is a calculated powder diffraction line list of PrNd2Zn2Si4Au2. It was derived from a crystal structure in OQMD, relaxed with PBE, using copper Kα.

Main lines, low angle first (10° ≤ 2θ ≤ 90°):
2θ/deg  I_rel
23.59  12
28.77  15
32.81  20
33.07  100
36.93  13
42.26  18
42.67  18
61.62  12

Structural model:
a b c (Å): 12.7716 12.7716 12.7716
angles (deg): 160.90 160.72 27.27
Atoms (fractional coordinates):
Pr  0.0000  0.0000  0.0000
Nd  0.1456  0.6456  0.5000
Nd  0.8544  0.3544  0.5000
Zn  0.4053  0.9053  0.5000
Zn  0.5947  0.0947  0.5000
Si  0.3093  0.8093  0.5000
Si  0.4522  0.4522  0.0000
Si  0.5478  0.5478  0.0000
Si  0.6907  0.1907  0.5000
Au  0.2504  0.2504  0.0000
Au  0.7496  0.7496  0.0000

5.
The following is a calculated powder diffraction line list of NiAg3C4. It was derived from a crystal structure in OQMD, relaxed with PBE, using copper Kα.

Main lines, low angle first (10° ≤ 2θ ≤ 90°):
2θ/deg  I_rel
21.88  18
25.65  21
28.58  25
35.59  100
39.99  39
42.12  52
50.80  22
66.55  18

Structural model:
a b c (Å): 14.0744 3.5937 4.2256
angles (deg): 90.00 105.98 90.00
Atoms (fractional coordinates):
Ni  0.0000  0.0000  0.0000
Ni  0.5000  0.5000  0.0000
Ag  0.0000  0.5000  0.5000
Ag  0.1691  0.5000  0.0575
Ag  0.3309  0.0000  0.9425
Ag  0.5000  0.0000  0.5000
Ag  0.6691  0.0000  0.0575
Ag  0.8309  0.5000  0.9425
C  0.1028  0.0000  0.3841
C  0.1662  0.0000  0.6706
C  0.3338  0.5000  0.3294
C  0.3972  0.5000  0.6159
C  0.6028  0.5000  0.3841
C  0.6662  0.5000  0.6706
C  0.8338  0.0000  0.3294
C  0.8972  0.0000  0.6159

6.
The following is a calculated powder diffraction line list of LuBiAu2. It was derived from a crystal structure in OQMD, relaxed with PBE, using copper Kα.

Main lines, low angle first (10° ≤ 2θ ≤ 90°):
2θ/deg  I_rel
35.79  100
51.52  18
64.31  37
75.84  12
86.81  17

Structural model:
a b c (Å): 7.0959 7.0959 7.0959
angles (deg): 90.00 90.00 90.00
Atoms (fractional coordinates):
Lu  0.0000  0.0000  0.0000
Lu  0.0000  0.5000  0.5000
Lu  0.5000  0.0000  0.5000
Lu  0.5000  0.5000  0.0000
Bi  0.2500  0.2500  0.7500
Bi  0.2500  0.7500  0.2500
Bi  0.7500  0.2500  0.2500
Bi  0.7500  0.7500  0.7500
Au  0.0000  0.0000  0.5000
Au  0.0000  0.5000  0.0000
Au  0.2500  0.2500  0.2500
Au  0.2500  0.7500  0.7500
Au  0.5000  0.0000  0.0000
Au  0.5000  0.5000  0.5000
Au  0.7500  0.2500  0.7500
Au  0.7500  0.7500  0.2500

7.
The following is a calculated powder diffraction line list of Nd2DyCu4Sn2Ge2. It was derived from a crystal structure in OQMD, relaxed with PBE, using copper Kα.

Main lines, low angle first (10° ≤ 2θ ≤ 90°):
2θ/deg  I_rel
26.50  13
33.28  30
33.93  78
34.33  100
40.44  38
44.44  17
53.34  16
78.74  14

Structural model:
a b c (Å): 8.3790 8.3790 8.3790
angles (deg): 149.12 132.67 57.59
Atoms (fractional coordinates):
Nd  0.1274  0.1274  0.0000
Nd  0.8726  0.8726  0.0000
Dy  0.5000  0.0000  0.5000
Cu  0.1535  0.3406  0.8129
Cu  0.4723  0.6594  0.8129
Cu  0.5277  0.3406  0.1871
Cu  0.8465  0.6594  0.1871
Sn  0.2844  0.7844  0.5000
Sn  0.7156  0.2156  0.5000
Ge  0.1934  0.5000  0.6934
Ge  0.8066  0.5000  0.3066

8.
The following is a calculated powder diffraction line list of CsCdSi. It was derived from a crystal structure in OQMD, relaxed with PBE, using copper Kα.

Main lines, low angle first (10° ≤ 2θ ≤ 90°):
2θ/deg  I_rel
23.53  77
33.52  100
41.36  23
48.13  18
54.25  31
59.93  36
75.42  14
80.30  16

Structural model:
a b c (Å): 7.5618 7.5618 7.5618
angles (deg): 90.00 90.00 90.00
Atoms (fractional coordinates):
Cs  0.0000  0.0000  0.0000
Cs  0.0000  0.5000  0.5000
Cs  0.5000  0.0000  0.5000
Cs  0.5000  0.5000  0.0000
Cd  0.0000  0.0000  0.5000
Cd  0.0000  0.5000  0.0000
Cd  0.5000  0.0000  0.0000
Cd  0.5000  0.5000  0.5000
Si  0.2500  0.2500  0.7500
Si  0.2500  0.7500  0.2500
Si  0.7500  0.2500  0.2500
Si  0.7500  0.7500  0.7500